For MnHC5O5, a structure optimized by DFT (GGA+U) gives the simulated X-ray diffraction stick pattern in this record (a wavelength of 1.5418 Å).
Lines closer than 0.1° are merged.

Main lines, in order of rising 2θ (15° ≤ 2θ ≤ 90°):
2theta	Rel. int.
16.1	100.0
16.5	50.4
16.9	21.3
17.7	71.4
20.3	69.4
25.9	22.2
28.5	24.8
30.8	62.8
31.5	83.0
41.3	23.3

```
data_MnHC5O5
_cell_length_a 12.530
_cell_length_b 6.460
_cell_length_c 20.014
_cell_angle_alpha 90.00
_cell_angle_beta 91.65
_cell_angle_gamma 90.00
_space_group_name_H-M_alt 'C 1 2/c 1'
_space_group_IT_number 15
_space_group_name_Hall '-C 2yc'
loop_
_atom_site_label
_atom_site_type_symbol
_atom_site_fract_x
_atom_site_fract_y
_atom_site_fract_z
Mn1 Mn 0.078 0.243 0.125
H1 H 0.038 0.340 0.193
C1 C 0.009 0.028 0.349
C2 C 0.040 0.377 0.412
C3 C 0.123 0.126 0.047
C4 C 0.152 0.488 0.120
C5 C 0.186 0.135 0.181
O1 O 0.065 0.101 0.829
O2 O 0.114 0.466 0.432
O3 O 0.148 0.052 0.997
O4 O 0.196 0.354 0.619
O5 O 0.250 0.071 0.217
```